Starting from a cell relaxed with GGA+U, the X-ray powder pattern of Er2Mo2O7 was computed for a wavelength of 1.5418 Å.
Kinematic intensities with the Lorentz-polarization factor, no thermal factor.

Atomic structure:
a = 7.320 Å, b = 7.320 Å, c = 7.320 Å
α = 60.00°, β = 60.00°, γ = 60.00°
Fractional positions:
Er  0.000  0.000  0.000
Er  0.000  0.000  0.500
Er  0.000  0.500  0.000
Er  0.500  0.000  0.000
Mo  0.000  0.500  0.500
Mo  0.500  0.000  0.500
Mo  0.500  0.500  0.000
Mo  0.500  0.500  0.500
O  0.125  0.125  0.125
O  0.160  0.160  0.590
O  0.160  0.590  0.160
O  0.160  0.590  0.590
O  0.410  0.410  0.840
O  0.410  0.840  0.410
O  0.410  0.840  0.840
O  0.590  0.160  0.160
O  0.590  0.160  0.590
O  0.590  0.590  0.160
O  0.840  0.410  0.410
O  0.840  0.410  0.840
O  0.840  0.840  0.410
O  0.875  0.875  0.875

Largest 10 diffraction maxima, in order of rising 2θ, 10° ≤ 2θ ≤ 90°:
14.82 deg, I = 7.0; 29.90 deg, I = 100.0; 34.66 deg, I = 32.4; 37.88 deg, I = 6.0; 49.83 deg, I = 47.8; 59.20 deg, I = 42.6; 62.12 deg, I = 9.5; 73.13 deg, I = 7.0; 80.96 deg, I = 17.5; 83.53 deg, I = 13.7